Nd4CuBr5: theoretical powder diffractogram (Cu Kα (weighted mean of Kα1 and Kα2)), based on a structure optimized by DFT (PBE).
Peak positions follow from Bragg's law for the DFT cell and can differ from measured ones.

Structure:
a = 18.603 Å, b = 4.069 Å, c = 8.766 Å
α = 90.00°, β = 102.44°, γ = 90.00°
Space group C2/m (No. 12)
Unique sites:
Nd 0.002 0.000 0.225 [4 per cell]
Nd 0.156 0.500 0.076 [4 per cell]
Cu 0.000 0.500 0.000 [2 per cell]
Br 0.000 0.500 0.500 [2 per cell]
Br 0.168 0.000 0.333 [4 per cell]
Br 0.171 0.000 0.823 [4 per cell]

Top 10 peaks for 2θ = 10–90°, in order of falling intensity:
29.97 deg, intensity 100
29.52 deg, intensity 62
10.33 deg, intensity 42
42.24 deg, intensity 38
42.87 deg, intensity 35
54.33 deg, intensity 19
41.20 deg, intensity 19
44.54 deg, intensity 17
27.20 deg, intensity 11
62.28 deg, intensity 11